(1)
Starting from a cell relaxed with GGA+U, the PXRD pattern of Lu2V2O7 was calculated for Cu Kα (weighted mean of Kα1 and Kα2).
No peak broadening, texture or thermal motion is included.

Top 6 peaks for 2θ from 10° to 90°, by intensity:
2θ (°), d_spacing, intensity
30.90, 2.893, 100.0
51.58, 1.772, 52.8
61.35, 1.511, 41.3
29.56, 3.022, 30.0
15.31, 5.787, 29.1
35.84, 2.506, 27.6

Structural model:
Cell: 10.023 10.023 10.023 Å, 90.00 90.00 90.00°
Space group Fd-3m (No. 227, origin choice 2)
Symmetry-distinct sites (fractional):
Lu1 0.000 0.000 0.000 (multiplicity 16)
V1 0.000 0.000 0.500 (multiplicity 16)
O1 0.122 0.375 0.875 (multiplicity 48)
O2 0.125 0.125 0.625 (multiplicity 8)

(2)
Starting from a cell relaxed with GGA+U, the PXRD pattern of Li2V3SnO8 was calculated for Cu Kα (weighted mean of Kα1 and Kα2).
No peak broadening, texture or thermal motion is included.

Top 6 peaks for 2θ from 10° to 90°, by intensity:
2θ (°), d_spacing, intensity
19.62, 4.526, 100.0
35.53, 2.527, 55.0
32.30, 2.771, 43.4
25.08, 3.550, 29.1
36.47, 2.463, 27.3
44.98, 2.016, 25.6

Structural model:
Cell: 5.868 10.181 9.915 Å, 90.00 90.11 90.00°
Space group Cc (No. 9)
Symmetry-distinct sites (fractional):
Li1 0.000 0.001 0.000 (multiplicity 4)
Li2 0.006 0.333 0.403 (multiplicity 4)
V1 0.003 0.176 0.722 (multiplicity 4)
V2 0.240 0.412 0.723 (multiplicity 4)
V3 0.268 0.088 0.222 (multiplicity 4)
Sn1 0.003 0.333 0.002 (multiplicity 4)
O1 0.003 0.000 0.311 (multiplicity 4)
O2 0.004 0.160 0.112 (multiplicity 4)
O3 0.004 0.483 0.848 (multiplicity 4)
O4 0.006 0.334 0.605 (multiplicity 4)
O5 0.229 0.258 0.848 (multiplicity 4)
O6 0.243 0.080 0.611 (multiplicity 4)
O7 0.262 0.419 0.113 (multiplicity 4)
O8 0.278 0.241 0.347 (multiplicity 4)

(3)
Starting from a cell relaxed with GGA+U, the PXRD pattern of Zn5Fe3P6O28 was calculated for Cu Kα (weighted mean of Kα1 and Kα2).
No peak broadening, texture or thermal motion is included.

Top 6 peaks for 2θ from 10° to 90°, by intensity:
2θ (°), d_spacing, intensity
10.24, 8.635, 100.0
28.83, 3.097, 73.8
21.33, 4.165, 42.5
31.46, 2.844, 40.9
29.77, 3.001, 28.5
30.77, 2.906, 26.6

Structural model:
Cell: 6.350 9.333 9.886 Å, 71.12 79.12 75.17°
Space group P1 (No. 1)
Symmetry-distinct sites (fractional):
Zn1 0.000 0.000 0.000 (multiplicity 1)
Zn2 0.031 0.344 0.015 (multiplicity 1)
Zn3 0.273 0.133 0.321 (multiplicity 1)
Zn4 0.931 0.659 0.583 (multiplicity 1)
Zn5 0.968 0.003 0.603 (multiplicity 1)
Fe1 0.437 0.748 0.966 (multiplicity 1)
Fe2 0.529 0.259 0.637 (multiplicity 1)
Fe3 0.688 0.883 0.284 (multiplicity 1)
P1 0.230 0.776 0.283 (multiplicity 1)
P2 0.455 0.097 0.991 (multiplicity 1)
P3 0.509 0.910 0.613 (multiplicity 1)
P4 0.738 0.223 0.316 (multiplicity 1)
P5 0.981 0.299 0.717 (multiplicity 1)
P6 0.985 0.707 0.884 (multiplicity 1)
O1 0.012 0.887 0.220 (multiplicity 1)
O2 0.097 0.807 0.935 (multiplicity 1)
O3 0.123 0.538 0.917 (multiplicity 1)
O4 0.168 0.667 0.430 (multiplicity 1)
O5 0.213 0.296 0.636 (multiplicity 1)
O6 0.239 0.352 0.342 (multiplicity 1)
O7 0.290 0.181 0.095 (multiplicity 1)
O8 0.294 0.995 0.545 (multiplicity 1)
O9 0.348 0.975 0.969 (multiplicity 1)
O10 0.359 0.687 0.176 (multiplicity 1)
O11 0.370 0.885 0.298 (multiplicity 1)
O12 0.459 0.517 0.977 (multiplicity 1)
O13 0.472 0.786 0.755 (multiplicity 1)
O14 0.499 0.217 0.848 (multiplicity 1)
O15 0.517 0.491 0.605 (multiplicity 1)
O16 0.581 0.312 0.418 (multiplicity 1)
O17 0.613 0.107 0.299 (multiplicity 1)
O18 0.619 0.031 0.638 (multiplicity 1)
O19 0.671 0.008 0.061 (multiplicity 1)
O20 0.677 0.829 0.507 (multiplicity 1)
O21 0.754 0.707 0.964 (multiplicity 1)
O22 0.775 0.663 0.299 (multiplicity 1)
O23 0.799 0.335 0.171 (multiplicity 1)
O24 0.847 0.467 0.693 (multiplicity 1)
O25 0.867 0.204 0.661 (multiplicity 1)
O26 0.950 0.125 0.388 (multiplicity 1)
O27 0.984 0.226 0.884 (multiplicity 1)
O28 0.986 0.774 0.716 (multiplicity 1)

(4)
Starting from a cell relaxed with GGA+U, the PXRD pattern of Mn2CdTeO6 was calculated for Cu Kα (weighted mean of Kα1 and Kα2).
No peak broadening, texture or thermal motion is included.

Top 6 peaks for 2θ from 10° to 90°, by intensity:
2θ (°), d_spacing, intensity
31.03, 2.882, 100.0
27.81, 3.208, 93.0
53.11, 1.724, 58.2
34.16, 2.624, 57.6
34.07, 2.632, 54.2
31.32, 2.856, 48.2

Structural model:
Cell: 6.406 6.422 6.422 Å, 90.54 90.77 90.64°
Space group P1 (No. 1)
Symmetry-distinct sites (fractional):
Mn1 0.000 0.000 0.000 (multiplicity 1)
Mn2 0.123 0.102 0.497 (multiplicity 1)
Mn3 0.510 0.300 0.185 (multiplicity 1)
Mn4 0.814 0.485 0.698 (multiplicity 1)
Cd1 0.310 0.613 0.801 (multiplicity 1)
Cd2 0.616 0.801 0.310 (multiplicity 1)
Te1 0.057 0.545 0.248 (multiplicity 1)
Te2 0.565 0.054 0.748 (multiplicity 1)
O1 0.005 0.841 0.308 (multiplicity 1)
O2 0.114 0.475 0.540 (multiplicity 1)
O3 0.125 0.251 0.186 (multiplicity 1)
O4 0.270 0.981 0.793 (multiplicity 1)
O5 0.351 0.599 0.182 (multiplicity 1)
O6 0.475 0.105 0.459 (multiplicity 1)
O7 0.531 0.345 0.834 (multiplicity 1)
O8 0.616 0.763 0.674 (multiplicity 1)
O9 0.649 0.016 0.040 (multiplicity 1)
O10 0.767 0.478 0.316 (multiplicity 1)
O11 0.858 0.131 0.702 (multiplicity 1)
O12 0.986 0.616 0.958 (multiplicity 1)

(5)
Starting from a cell relaxed with GGA+U, the PXRD pattern of Fe3O4F2 was calculated for Cu Kα (weighted mean of Kα1 and Kα2).
No peak broadening, texture or thermal motion is included.

Top 6 peaks for 2θ from 10° to 90°, by intensity:
2θ (°), d_spacing, intensity
27.13, 3.287, 100.0
34.83, 2.576, 42.5
53.00, 1.728, 30.2
53.18, 1.722, 29.4
55.94, 1.644, 16.4
34.95, 2.567, 13.7

Structural model:
Cell: 5.595 4.651 7.714 Å, 90.00 93.21 90.00°
Space group P2_1 (No. 4)
Symmetry-distinct sites (fractional):
Fe1 0.068 0.000 0.343 (multiplicity 2)
Fe2 0.268 0.459 0.002 (multiplicity 2)
Fe3 0.406 0.961 0.681 (multiplicity 2)
O1 0.120 0.165 0.572 (multiplicity 2)
O2 0.214 0.656 0.776 (multiplicity 2)
O3 0.283 0.277 0.233 (multiplicity 2)
O4 0.455 0.165 0.898 (multiplicity 2)
F1 0.049 0.771 0.099 (multiplicity 2)
F2 0.379 0.770 0.438 (multiplicity 2)

(6)
Starting from a cell relaxed with GGA+U, the PXRD pattern of MgMn2O4 was calculated for Cu Kα (weighted mean of Kα1 and Kα2).
No peak broadening, texture or thermal motion is included.

Top 6 peaks for 2θ from 10° to 90°, by intensity:
2θ (°), d_spacing, intensity
17.95, 4.942, 100.0
27.06, 3.295, 77.5
35.45, 2.532, 42.1
36.31, 2.474, 41.8
35.36, 2.538, 38.9
40.36, 2.234, 27.7

Structural model:
Cell: 3.158 3.185 10.033 Å, 81.77 81.37 62.39°
Space group P1 (No. 1)
Symmetry-distinct sites (fractional):
Mg1 0.000 0.000 0.000 (multiplicity 1)
Mn1 0.448 0.442 0.721 (multiplicity 1)
Mn2 0.562 0.585 0.305 (multiplicity 1)
O1 0.202 0.234 0.391 (multiplicity 1)
O2 0.361 0.363 0.934 (multiplicity 1)
O3 0.803 0.801 0.675 (multiplicity 1)
O4 0.922 0.930 0.202 (multiplicity 1)